1.
This entry pairs a crystal structure of Al9Si2BO19 with its simulated X-ray powder pattern. Radiation: CuKα. Structure: the PBE geometry in Alexandria.
Neutral-atom scattering factors, no anomalous dispersion.

Peak list (10 most intense, 2θ = 5–70°, sorted by position)
d [Å]	Position (°2θ)	intensity
5.506	16.10	87
5.274	16.81	66
3.451	25.82	93
3.364	26.49	55
3.335	26.73	100
2.752	32.54	75
2.564	35.00	52
2.228	40.49	55
2.196	41.11	62
1.503	61.71	52

Structural model:
a = 15.135 Å, b = 5.796 Å, c = 7.682 Å
α = 90.00°, β = 92.46°, γ = 90.00°
Space group Cm (No. 8)
Inequivalent atoms, fractional coordinates:
Al: 0.000 0.000 0.000 [2 per cell]
Al: 0.003 0.500 0.004 [2 per cell]
Al: 0.083 0.257 0.671 [4 per cell]
Al: 0.155 0.500 0.340 [2 per cell]
Al: 0.267 0.500 0.819 [2 per cell]
Al: 0.322 0.253 0.153 [4 per cell]
Al: 0.458 0.000 0.358 [2 per cell]
Si: 0.155 0.000 0.326 [2 per cell]
Si: 0.409 0.500 0.500 [2 per cell]
B: 0.229 0.000 0.867 [2 per cell]
O: 0.012 0.000 0.580 [2 per cell]
O: 0.018 0.500 0.562 [2 per cell]
O: 0.019 0.253 0.880 [4 per cell]
O: 0.054 0.500 0.216 [2 per cell]
O: 0.075 0.000 0.182 [2 per cell]
O: 0.153 0.231 0.452 [4 per cell]
O: 0.155 0.000 0.758 [2 per cell]
O: 0.155 0.500 0.744 [2 per cell]
O: 0.249 0.500 0.214 [2 per cell]
O: 0.252 0.000 0.237 [2 per cell]
O: 0.267 0.209 0.924 [4 per cell]
O: 0.338 0.500 0.648 [2 per cell]
O: 0.385 0.500 0.048 [2 per cell]
O: 0.396 0.270 0.370 [4 per cell]
O: 0.399 0.000 0.113 [2 per cell]

2.
This entry pairs a crystal structure of La2NdSm with its simulated X-ray powder pattern. Radiation: CuKα. Structure: the PBE geometry in Alexandria.
Neutral-atom scattering factors, no anomalous dispersion.

Peak list (10 most intense, 2θ = 5–70°, sorted by position)
d [Å]	Position (°2θ)	intensity
3.130	28.52	24
3.064	29.15	30
2.997	29.81	38
2.852	31.37	100
2.483	36.18	21
1.822	50.07	19
1.701	53.91	21
1.674	54.85	12
1.597	57.74	12
1.461	63.68	11

Structural model:
a = 7.547 Å, b = 6.338 Å, c = 12.565 Å
α = 90.00°, β = 107.44°, γ = 90.00°
Space group P2/c (No. 13)
Inequivalent atoms, fractional coordinates:
La: 0.065 0.165 0.122 [4 per cell]
La: 0.193 0.334 0.877 [4 per cell]
Nd: 0.315 0.336 0.618 [4 per cell]
Sm: 0.444 0.164 0.380 [4 per cell]

3.
This entry pairs a crystal structure of BaCd2Pb6 with its simulated X-ray powder pattern. Radiation: CuKα. Structure: the PBE geometry in Alexandria.
Neutral-atom scattering factors, no anomalous dispersion.

Peak list (10 most intense, 2θ = 5–70°, sorted by position)
d [Å]	Position (°2θ)	intensity
4.928	18.00	17
4.202	21.14	13
3.484	25.56	62
2.845	31.44	9
2.682	33.41	6
2.464	36.47	100
2.012	45.07	19
1.742	52.53	18
1.558	59.30	26
1.423	65.63	37

Structural model:
a = 13.938 Å, b = 13.938 Å, c = 13.938 Å
α = 90.00°, β = 90.00°, γ = 90.00°
Space group Fd-3m (No. 227, origin choice 2)
Inequivalent atoms, fractional coordinates:
Ba: 0.125 0.125 0.125 [8 per cell]
Cd: 0.000 0.000 0.500 [16 per cell]
Pb: 0.124 0.375 0.375 [48 per cell]

4.
This entry pairs a crystal structure of AcTlPb with its simulated X-ray powder pattern. Radiation: CuKα. Structure: the PBE geometry in Alexandria.
Neutral-atom scattering factors, no anomalous dispersion.

Peak list (10 most intense, 2θ = 5–70°, sorted by position)
d [Å]	Position (°2θ)	intensity
3.073	29.05	100
2.984	29.94	33
2.809	31.86	13
2.757	32.47	91
2.472	36.34	33
2.242	40.22	30
1.904	47.78	19
1.661	55.31	24
1.508	61.48	25
1.476	62.96	14

Structural model:
a = 4.944 Å, b = 11.771 Å, c = 6.924 Å
α = 90.00°, β = 90.00°, γ = 90.00°
Space group Cmcm (No. 63)
Inequivalent atoms, fractional coordinates:
Ac: 0.000 0.174 0.250 [4 per cell]
Tl: 0.000 0.128 0.750 [4 per cell]
Pb: 0.000 0.500 0.000 [4 per cell]